Record 1
Starting from a cell relaxed with PBE, the PXRD pattern of RbCd3Pb9 was computed for λ = 1.5418 Å (Cu Kα).
Peak positions follow from Bragg's law for the DFT cell and can differ from measured ones.

Atomic structure:
Unit cell a=8.9875 b=8.9875 c=8.3824 alpha=96.72 beta=96.72 gamma=139.45
Element x y z (fractional)
Rb 0.0000 0.0000 0.0000
Cd 0.0000 0.5000 0.0000
Cd 0.5000 0.0000 0.0000
Cd 0.5000 0.5000 0.5000
Pb 0.0000 0.0000 0.5000
Pb 0.0084 0.6497 0.6462
Pb 0.2833 0.5094 0.7824
Pb 0.3503 0.9916 0.3538
Pb 0.4906 0.7167 0.2176
Pb 0.5094 0.2833 0.7824
Pb 0.6497 0.0084 0.6462
Pb 0.7167 0.4906 0.2176
Pb 0.9916 0.3503 0.3538

The 10 most intense peaks (15° ≤ 2θ ≤ 90°), by angle:
2θ 27.6, intensity 351
2θ 28.7, intensity 401
2θ 30.6, intensity 589
2θ 31.0, intensity 945
2θ 31.8, intensity 552
2θ 32.3, intensity 394
2θ 33.1, intensity 408
2θ 33.9, intensity 368
2θ 35.8, intensity 1000
2θ 36.1, intensity 698


Record 2
Starting from a cell relaxed with PBE, the PXRD pattern of Cu2Ag3Pd3 was computed for λ = 1.5418 Å (Cu Kα).
Peak positions follow from Bragg's law for the DFT cell and can differ from measured ones.

Atomic structure:
Unit cell a=8.0926 b=8.0926 c=8.0926 alpha=151.31 beta=150.79 gamma=41.41
Element x y z (fractional)
Cu 0.2498 0.2498 0.0000
Cu 0.7502 0.7502 0.0000
Ag 0.0000 0.0000 0.0000
Ag 0.3666 0.8666 0.5000
Ag 0.6334 0.1334 0.5000
Pd 0.1371 0.6371 0.5000
Pd 0.5000 0.5000 0.0000
Pd 0.8629 0.3629 0.5000

The 10 most intense peaks (15° ≤ 2θ ≤ 90°), by angle:
2θ 39.5, intensity 1000
2θ 44.4, intensity 184
2θ 45.2, intensity 174
2θ 48.1, intensity 130
2θ 65.2, intensity 111
2θ 67.5, intensity 86
2θ 68.1, intensity 83
2θ 78.4, intensity 124
2θ 79.6, intensity 119
2θ 85.0, intensity 91


Record 3
Starting from a cell relaxed with PBE, the PXRD pattern of UCoTcPt was computed for λ = 1.5418 Å (Cu Kα).
Peak positions follow from Bragg's law for the DFT cell and can differ from measured ones.

Atomic structure:
Unit cell a=3.8260 b=3.9648 c=4.1706 alpha=90.00 beta=90.00 gamma=90.00
Element x y z (fractional)
U 0.0000 0.0000 0.0000
Co 0.5000 0.0000 0.5000
Tc 0.5000 0.5000 0.0000
Pt 0.0000 0.5000 0.5000

The 10 most intense peaks (15° ≤ 2θ ≤ 90°), by angle:
2θ 23.2, intensity 177
2θ 31.1, intensity 176
2θ 39.2, intensity 1000
2θ 43.4, intensity 188
2θ 45.8, intensity 161
2θ 47.5, intensity 145
2θ 64.9, intensity 114
2θ 76.8, intensity 143
2θ 80.2, intensity 128
2θ 82.8, intensity 119


Record 4
Starting from a cell relaxed with PBE, the PXRD pattern of ZnIrRhO6 was computed for λ = 1.5418 Å (Cu Kα).
Peak positions follow from Bragg's law for the DFT cell and can differ from measured ones.

Atomic structure:
Unit cell a=5.1382 b=5.1382 c=8.8652 alpha=90.00 beta=90.00 gamma=120.00
Element x y z (fractional)
Zn 0.0000 0.0000 0.0000
Zn 0.0000 0.0000 0.5000
Ir 0.3333 0.6667 0.2500
Ir 0.6667 0.3333 0.7500
Rh 0.3333 0.6667 0.7500
Rh 0.6667 0.3333 0.2500
O 0.0061 0.3574 0.1290
O 0.0061 0.6487 0.3710
O 0.3513 0.3574 0.3710
O 0.3513 0.9939 0.1290
O 0.3574 0.0061 0.6290
O 0.3574 0.3513 0.8710
O 0.6426 0.6487 0.1290
O 0.6426 0.9939 0.3710
O 0.6487 0.0061 0.8710
O 0.6487 0.6426 0.6290
O 0.9939 0.3513 0.6290
O 0.9939 0.6426 0.8710

The 10 most intense peaks (15° ≤ 2θ ≤ 90°), by angle:
2θ 20.0, intensity 595
2θ 22.4, intensity 190
2θ 28.4, intensity 1000
2θ 34.9, intensity 606
2θ 40.6, intensity 456
2θ 45.6, intensity 270
2θ 54.7, intensity 550
2θ 58.7, intensity 277
2θ 62.6, intensity 212
2θ 87.8, intensity 138


Record 5
Starting from a cell relaxed with PBE, the PXRD pattern of La2HoTe3 was computed for λ = 1.5418 Å (Cu Kα).
Peak positions follow from Bragg's law for the DFT cell and can differ from measured ones.

Atomic structure:
Unit cell a=14.7910 b=14.1072 c=7.8202 alpha=79.19 beta=69.53 gamma=31.29
Element x y z (fractional)
La 0.0446 0.0446 0.2054
La 0.1231 0.1231 0.6269
La 0.2054 0.2054 0.0446
La 0.3731 0.3731 0.8769
La 0.6269 0.6269 0.1231
La 0.7946 0.7946 0.9554
La 0.8769 0.8769 0.3731
La 0.9554 0.9554 0.7946
Ho 0.2922 0.2922 0.4578
Ho 0.4578 0.4578 0.2922
Ho 0.5422 0.5422 0.7078
Ho 0.7078 0.7078 0.5422
Te 0.0380 0.5396 0.2249
Te 0.1409 0.6091 0.6091
Te 0.2249 0.6974 0.0380
Te 0.3026 0.7751 0.4604
Te 0.3909 0.8591 0.8591
Te 0.4604 0.9620 0.3026
Te 0.5396 0.0380 0.6974
Te 0.6091 0.1409 0.1409
Te 0.6974 0.2249 0.5396
Te 0.7751 0.3026 0.9620
Te 0.8591 0.3909 0.3909
Te 0.9620 0.4604 0.7751

The 10 most intense peaks (15° ≤ 2θ ≤ 90°), by angle:
2θ 28.0, intensity 1000
2θ 39.6, intensity 129
2θ 40.1, intensity 505
2θ 40.5, intensity 124
2θ 49.2, intensity 137
2θ 50.0, intensity 131
2θ 58.0, intensity 124
2θ 65.6, intensity 113
2θ 65.6, intensity 114
2θ 72.2, intensity 82


Record 6
Starting from a cell relaxed with PBE, the PXRD pattern of Tb3Mn3S8 was computed for λ = 1.5418 Å (Cu Kα).
Peak positions follow from Bragg's law for the DFT cell and can differ from measured ones.

Atomic structure:
Unit cell a=7.6592 b=7.6592 c=7.6592 alpha=61.00 beta=61.00 gamma=61.00
Element x y z (fractional)
Tb 0.0000 0.5000 0.5000
Tb 0.5000 0.0000 0.5000
Tb 0.5000 0.5000 0.0000
Mn 0.1232 0.1232 0.1232
Mn 0.5000 0.5000 0.5000
Mn 0.8768 0.8768 0.8768
S 0.2516 0.2516 0.2516
S 0.2618 0.7353 0.7353
S 0.2647 0.2647 0.7382
S 0.2647 0.7382 0.2647
S 0.7353 0.2618 0.7353
S 0.7353 0.7353 0.2618
S 0.7382 0.2647 0.2647
S 0.7484 0.7484 0.7484

The 10 most intense peaks (15° ≤ 2θ ≤ 90°), by angle:
2θ 23.2, intensity 235
2θ 26.9, intensity 921
2θ 27.1, intensity 575
2θ 27.4, intensity 315
2θ 28.2, intensity 218
2θ 32.8, intensity 1000
2θ 36.0, intensity 227
2θ 43.1, intensity 234
2θ 46.7, intensity 629
2θ 47.5, intensity 593


Record 7
Starting from a cell relaxed with PBE, the PXRD pattern of Pm3Ga7Cu2 was computed for λ = 1.5418 Å (Cu Kα).
Peak positions follow from Bragg's law for the DFT cell and can differ from measured ones.

Atomic structure:
Unit cell a=4.2646 b=4.2748 c=13.3216 alpha=90.00 beta=99.14 gamma=90.00
Element x y z (fractional)
Pm 0.0000 0.0000 0.0000
Pm 0.3164 0.5000 0.6327
Pm 0.6836 0.5000 0.3673
Ga 0.0839 0.5000 0.1704
Ga 0.2244 0.0000 0.4485
Ga 0.4143 0.0000 0.8291
Ga 0.5000 0.5000 0.0000
Ga 0.5857 0.0000 0.1709
Ga 0.7756 0.0000 0.5515
Ga 0.9161 0.5000 0.8296
Cu 0.1325 0.0000 0.2644
Cu 0.8675 0.0000 0.7356

The 10 most intense peaks (15° ≤ 2θ ≤ 90°), by angle:
2θ 34.2, intensity 1000
2θ 34.4, intensity 235
2θ 37.3, intensity 127
2θ 38.2, intensity 185
2θ 42.3, intensity 278
2θ 42.4, intensity 276
2θ 61.4, intensity 179
2θ 68.1, intensity 131
2θ 72.2, intensity 158
2θ 72.3, intensity 137


Record 8
Starting from a cell relaxed with PBE, the PXRD pattern of LiPaSbRu was computed for λ = 1.5418 Å (Cu Kα).
Peak positions follow from Bragg's law for the DFT cell and can differ from measured ones.

Atomic structure:
Unit cell a=4.7409 b=4.7409 c=4.7409 alpha=60.00 beta=60.00 gamma=60.00
Element x y z (fractional)
Li 0.0000 0.0000 0.0000
Pa 0.2500 0.2500 0.2500
Sb 0.7500 0.7500 0.7500
Ru 0.5000 0.5000 0.5000

The 10 most intense peaks (15° ≤ 2θ ≤ 90°), by angle:
2θ 23.0, intensity 237
2θ 26.6, intensity 343
2θ 38.0, intensity 1000
2θ 44.8, intensity 127
2θ 46.9, intensity 102
2θ 54.8, intensity 174
2θ 61.9, intensity 136
2θ 68.6, intensity 354
2θ 81.1, intensity 112
2θ 87.2, intensity 71


What did the first record say?
Starting from a cell relaxed with PBE, the PXRD pattern of RbCd3Pb9 was computed for λ = 1.5418 Å (Cu Kα).
Peak positions follow from Bragg's law for the DFT cell and can differ from measured ones.

Atomic structure:
Unit cell a=8.9875 b=8.9875 c=8.3824 alpha=96.72 beta=96.72 gamma=139.45
Element x y z (fractional)
Rb 0.0000 0.0000 0.0000
Cd 0.0000 0.5000 0.0000
Cd 0.5000 0.0000 0.0000
Cd 0.5000 0.5000 0.5000
Pb 0.0000 0.0000 0.5000
Pb 0.0084 0.6497 0.6462
Pb 0.2833 0.5094 0.7824
Pb 0.3503 0.9916 0.3538
Pb 0.4906 0.7167 0.2176
Pb 0.5094 0.2833 0.7824
Pb 0.6497 0.0084 0.6462
Pb 0.7167 0.4906 0.2176
Pb 0.9916 0.3503 0.3538

The 10 most intense peaks (15° ≤ 2θ ≤ 90°), by angle:
2θ 27.6, intensity 351
2θ 28.7, intensity 401
2θ 30.6, intensity 589
2θ 31.0, intensity 945
2θ 31.8, intensity 552
2θ 32.3, intensity 394
2θ 33.1, intensity 408
2θ 33.9, intensity 368
2θ 35.8, intensity 1000
2θ 36.1, intensity 698